AcTb5PmNd2: theoretical PXRD pattern (a wavelength of 1.5418 Å), based on a DFT-relaxed cell (GGA-PBE, Alexandria).
Peak positions follow from Bragg's law for the DFT cell and can differ from measured ones.

Cell and atoms:
```
data_AcTb5PmNd2
_chemical_formula_sum 'Ac2 Tb10 Pm2 Nd4'
_space_group_name_H-M_alt 'P 1'
_space_group_IT_number 1
_cell_length_a 10.0946
_cell_length_b 10.0946
_cell_length_c 10.0946
_cell_angle_alpha 127.91
_cell_angle_beta 127.91
_cell_angle_gamma 76.77
loop_
_space_group_symop_operation_xyz
'x,y,z'
loop_
_atom_site_label
_atom_site_type_symbol
_atom_site_fract_x
_atom_site_fract_y
_atom_site_fract_z
Ac1 Ac 0.2500 0.2500 0.0000
Ac2 Ac 0.7500 0.7500 0.0000
Tb1 Tb 0.0000 0.0000 0.0000
Tb2 Tb 0.0727 0.5727 0.9113
Tb3 Tb 0.1614 0.0727 0.5000
Tb4 Tb 0.3386 0.8386 0.9113
Tb5 Tb 0.4273 0.3386 0.5000
Tb6 Tb 0.5000 0.5000 0.0000
Tb7 Tb 0.5727 0.6614 0.5000
Tb8 Tb 0.6614 0.1614 0.0887
Tb9 Tb 0.8386 0.9273 0.5000
Tb10 Tb 0.9273 0.4273 0.0887
Pm1 Pm 0.2500 0.7500 0.5000
Pm2 Pm 0.7500 0.2500 0.5000
Nd1 Nd 0.1177 0.3823 0.5000
Nd2 Nd 0.3823 0.8823 0.2646
Nd3 Nd 0.6177 0.1177 0.7354
Nd4 Nd 0.8823 0.6177 0.5000
```

Most intense lines, 10° ≤ 2θ ≤ 90°, by angle:
2θ = 28.16°, intensity 42.7
2θ = 28.48°, intensity 48.7
2θ = 30.28°, intensity 100.0
2θ = 31.93°, intensity 17.9
2θ = 36.32°, intensity 13.7
2θ = 37.00°, intensity 15.0
2θ = 42.40°, intensity 20.6
2θ = 45.56°, intensity 9.2
2θ = 45.86°, intensity 15.5
2θ = 51.57°, intensity 21.1
2θ = 54.88°, intensity 14.7
2θ = 57.94°, intensity 9.4